# 1
For ThSiNi11, DFT lattice parameters and positions (PBE) gives the calculated X-ray powder pattern in this record (Cu Kα).
No peak broadening, texture or thermal motion is included.

Structure:
Lattice parameters (Å, degrees): 6.261 6.261 6.262 97.33 97.33 135.96
Atoms (fractional coordinates):
Th 0.000 0.000 0.000
Si 0.500 0.500 0.500
Ni 0.000 0.000 0.500
Ni 0.000 0.500 0.000
Ni 0.014 0.660 0.648
Ni 0.282 0.508 0.768
Ni 0.340 0.986 0.352
Ni 0.492 0.718 0.232
Ni 0.500 0.000 0.000
Ni 0.508 0.282 0.768
Ni 0.660 0.014 0.648
Ni 0.718 0.492 0.232
Ni 0.986 0.340 0.352

Top 10 peaks for 2θ from 10° to 90°, low angle first:
two_theta  I_rel
21.53  28
30.74  22
31.21  24
37.42  27
38.33  58
43.05  36
43.83  100
44.07  38
44.34  47
44.92  37

# 2
For Ca2TlInH, DFT lattice parameters and positions (PBE) gives the calculated X-ray powder pattern in this record (Cu Kα).
No peak broadening, texture or thermal motion is included.

Structure:
Lattice parameters (Å, degrees): 4.904 4.904 4.779 90.00 90.00 90.00
Atoms (fractional coordinates):
Ca 0.000 0.500 0.000
Ca 0.500 0.000 0.000
Tl 0.000 0.000 0.500
In 0.500 0.500 0.500
H 0.500 0.500 0.000

Top 10 peaks for 2θ from 10° to 90°, low angle first:
two_theta  I_rel
18.57  30
25.69  29
31.89  100
36.65  35
37.64  16
41.39  17
46.13  13
53.55  23
63.02  27
64.36  13